Cd2Mo8C3N3: computed X-ray diffraction stick pattern (Cu Ka), based on DFT lattice parameters and positions (GGA-PBE).
Kinematic intensities with the Lorentz-polarization factor, no thermal factor.

Cell and atoms:
Cell lengths 3.1077, 3.1077, 24.0915 Å; angles 90.00, 90.00, 120.00 degrees
Space group P-3m1 (No. 164)
Inequivalent atoms, fractional coordinates:
Cd 0.3333 0.6667 0.2514 x2
Mo 0.0000 0.0000 0.1488 x2
Mo 0.0000 0.0000 0.3516 x2
Mo 0.3333 0.6667 0.0547 x2
Mo 0.3333 0.6667 0.4524 x2
C 0.0000 0.0000 0.0000 x1
C 0.3333 0.6667 0.8924 x2
N 0.0000 0.0000 0.5000 x1
N 0.3333 0.6667 0.6023 x2

Most intense lines, 5 to 70 degrees two-theta, by intensity:
two_theta, Rel. int., hkl
38.31, 100.0, 0 1 5
40.34, 81.2, 1 0 6
36.57, 78.8, 1 0 4
37.33, 53.0, 0 0 10
59.49, 51.2, 1 1 0
33.50, 39.0, 0 1 1
64.25, 20.4, 1 0 14
67.97, 16.0, 0 1 15